Starting from the PBE geometry in OQMD, the X-ray powder pattern of PrHoMg2Sn2 was computed for Cu Kα.
Lines closer than 0.1° are merged.

Main lines, by angle (2θ = 10–90°):
2θ (°)  Rel. int.
22.1  43
28.3  100
30.4  36
34.4  34
36.2  85
40.4  57
44.4  29
70.8  41

Structure:
```
PrHoMg2Sn2
1.0
-2.231 2.231 8.037
2.231 -2.231 8.037
2.231 2.231 -8.037
Pr Ho Mg Sn
1 1 2 2
direct
0.000 0.000 0.000
0.332 0.332 0.000
0.168 0.668 0.500
0.668 0.168 0.500
0.532 0.532 0.000
0.801 0.801 0.000
```

---

Starting from the PBE geometry in OQMD, the X-ray powder pattern of Ho3Mg3Tl2Pt was computed for Cu Kα.
Lines closer than 0.1° are merged.

Main lines, by angle (2θ = 10–90°):
2θ (°)  Rel. int.
23.8  61
24.2  36
31.2  90
34.2  100
40.3  32
41.9  49
42.1  45
59.6  35

Structure:
```
Ho3Mg3Tl2Pt
1.0
7.464 0.000 0.000
-3.732 6.464 0.000
0.000 0.000 4.475
Ho Mg Tl Pt
3 3 2 1
direct
0.000 0.398 0.000
0.398 0.000 0.000
0.602 0.602 0.000
0.000 0.769 0.500
0.231 0.231 0.500
0.769 0.000 0.500
0.333 0.667 0.500
0.667 0.333 0.500
0.000 0.000 0.000
```

---

Starting from the PBE geometry in OQMD, the X-ray powder pattern of Ho2TmMg3Pt3 was computed for Cu Kα.
Lines closer than 0.1° are merged.

Main lines, by angle (2θ = 10–90°):
2θ (°)  Rel. int.
24.4  51
26.1  27
33.0  71
36.0  100
42.9  40
43.9  37
63.6  25
68.6  27

Structure:
```
Ho2TmMg3Pt3
1.0
4.059 0.000 0.000
0.000 6.326 3.656
0.000 -6.326 3.656
Ho Tm Mg Pt
2 1 3 3
direct
0.000 0.205 0.795
0.000 0.795 0.205
0.000 0.614 0.614
0.500 0.205 0.451
0.500 0.451 0.205
0.500 0.958 0.958
0.000 0.206 0.206
0.500 0.539 0.870
0.500 0.870 0.539
```